# 1
Na3Cr3MoSe8: computed powder diffraction line list (Cu Kα (λ = 1.5418 Å)), based on a DFT-relaxed cell (GGA-PBE, Alexandria).

Atomic structure:
Lattice parameters (Å, degrees): 8.1823 8.1823 8.1823 54.47 54.47 54.47
Fractional coordinates of all 15 atoms:
Na1 0.0000 0.5000 0.5000
Na2 0.5000 0.0000 0.5000
Na3 0.5000 0.5000 0.0000
Cr1 0.0000 0.0000 0.5000
Cr2 0.0000 0.5000 0.0000
Cr3 0.5000 0.0000 0.0000
Mo1 0.5000 0.5000 0.5000
Se1 0.2283 0.7370 0.7370
Se2 0.2328 0.2328 0.2328
Se3 0.2630 0.2630 0.7717
Se4 0.2630 0.7717 0.2630
Se5 0.7370 0.2283 0.7370
Se6 0.7370 0.7370 0.2283
Se7 0.7672 0.7672 0.7672
Se8 0.7717 0.2630 0.2630

Principal peaks in the range 10 to 80 degrees two-theta, by angle:
| 2theta | I/Imax |
| --- | --- |
| 12.74 | 55.5 |
| 28.83 | 13.5 |
| 32.52 | 100.0 |
| 41.16 | 22.1 |
| 44.62 | 28.2 |
| 48.63 | 34.5 |
| 56.23 | 13.6 |
| 59.72 | 16.2 |

***

# 2
NbCrMo6: computed powder diffraction line list (Cu Kα (λ = 1.5418 Å)), based on a DFT-relaxed cell (GGA-PBE, Alexandria).

Atomic structure:
Lattice parameters (Å, degrees): 4.4514 5.4627 5.4627 109.54 90.00 90.00
Fractional coordinates of all 8 atoms:
Nb1 0.0000 0.0000 0.0000
Cr1 0.5000 0.2482 0.2482
Mo1 0.0000 0.4928 0.4928
Mo2 0.0000 0.4952 0.9979
Mo3 0.0000 0.9979 0.4952
Mo4 0.5000 0.2462 0.7445
Mo5 0.5000 0.7430 0.7430
Mo6 0.5000 0.7445 0.2462

Principal peaks in the range 10 to 80 degrees two-theta, by angle:
| 2theta | I/Imax |
| --- | --- |
| 17.23 | 0.9 |
| 19.92 | 0.9 |
| 26.47 | 1.1 |
| 40.47 | 100.0 |
| 40.53 | 19.9 |
| 58.59 | 19.3 |
| 73.57 | 19.5 |
| 73.69 | 19.5 |

***

# 3
CrNiMo2: computed powder diffraction line list (Cu Kα (λ = 1.5418 Å)), based on a DFT-relaxed cell (GGA-PBE, Alexandria).

Atomic structure:
Lattice parameters (Å, degrees): 3.1359 3.1359 5.5957 90.00 90.00 90.00
Fractional coordinates of all 4 atoms:
Cr1 0.0000 0.0000 0.0000
Ni1 0.5000 0.5000 0.7676
Mo1 0.0000 0.0000 0.5255
Mo2 0.5000 0.5000 0.2473

Principal peaks in the range 10 to 80 degrees two-theta, by angle:
| 2theta | I/Imax |
| --- | --- |
| 15.84 | 4.7 |
| 32.74 | 11.6 |
| 40.69 | 61.9 |
| 43.34 | 100.0 |
| 58.90 | 19.6 |
| 65.38 | 3.2 |
| 66.88 | 6.0 |
| 75.89 | 35.4 |

***

# 4
CrNi14Mo: computed powder diffraction line list (Cu Kα (λ = 1.5418 Å)), based on a DFT-relaxed cell (GGA-PBE, Alexandria).

Atomic structure:
Lattice parameters (Å, degrees): 5.0412 5.0412 7.0576 90.00 90.00 90.00
Fractional coordinates of all 16 atoms:
Cr1 0.0000 0.0000 0.0000
Ni1 0.0000 0.0000 0.5000
Ni2 0.0000 0.5000 0.0000
Ni3 0.0000 0.5000 0.5000
Ni4 0.2483 0.2483 0.2514
Ni5 0.2483 0.2483 0.7486
Ni6 0.2483 0.7517 0.2514
Ni7 0.2483 0.7517 0.7486
Ni8 0.5000 0.0000 0.0000
Ni9 0.5000 0.0000 0.5000
Ni10 0.5000 0.5000 0.5000
Ni11 0.7517 0.2483 0.2514
Ni12 0.7517 0.2483 0.7486
Ni13 0.7517 0.7517 0.2514
Ni14 0.7517 0.7517 0.7486
Mo1 0.5000 0.5000 0.0000

Principal peaks in the range 10 to 80 degrees two-theta, by angle:
| 2theta | I/Imax |
| --- | --- |
| 17.59 | 0.7 |
| 21.66 | 1.1 |
| 30.93 | 0.6 |
| 44.15 | 100.0 |
| 51.26 | 31.3 |
| 51.82 | 15.1 |
| 75.42 | 9.1 |
| 75.88 | 17.8 |

***

# 5
CrNiMo: computed powder diffraction line list (Cu Kα (λ = 1.5418 Å)), based on a DFT-relaxed cell (GGA-PBE, Alexandria).

Atomic structure:
Lattice parameters (Å, degrees): 6.2989 6.1947 2.5651 80.44 75.88 23.68
Fractional coordinates of all 3 atoms:
Cr1 0.0000 0.0000 0.0000
Ni1 0.3496 0.3496 0.6504
Mo1 0.6778 0.6778 0.3222

Principal peaks in the range 10 to 80 degrees two-theta, by angle:
| 2theta | I/Imax |
| --- | --- |
| 14.82 | 7.0 |
| 42.51 | 100.0 |
| 45.52 | 19.5 |
| 45.70 | 20.3 |
| 56.66 | 10.3 |
| 66.48 | 11.7 |
| 75.51 | 8.0 |
| 75.64 | 8.4 |

***

# 6
Cr6Ni23Mo: computed powder diffraction line list (Cu Kα (λ = 1.5418 Å)), based on a DFT-relaxed cell (GGA-PBE, Alexandria).

Atomic structure:
Lattice parameters (Å, degrees): 8.6097 8.6097 8.6097 131.66 131.66 70.76
Fractional coordinates of all 30 atoms:
Cr1 0.2492 0.2492 0.0000
Cr2 0.2548 0.2548 0.5095
Cr3 0.2548 0.7452 0.0000
Cr4 0.7452 0.2548 0.0000
Cr5 0.7452 0.7452 0.4905
Cr6 0.7508 0.7508 0.0000
Ni1 0.0000 0.0000 0.5000
Ni2 0.0000 0.5000 0.0000
Ni3 0.0000 0.5000 0.5000
Ni4 0.1221 0.3725 0.7496
Ni5 0.1260 0.8704 0.2556
Ni6 0.1296 0.3852 0.2556
Ni7 0.1296 0.8740 0.7444
Ni8 0.3725 0.1221 0.7496
Ni9 0.3725 0.6230 0.2504
Ni10 0.3770 0.6275 0.7496
Ni11 0.3852 0.1296 0.2556
Ni12 0.5000 0.0000 0.0000
Ni13 0.5000 0.0000 0.5000
Ni14 0.5000 0.5000 0.0000
Ni15 0.5000 0.5000 0.5000
Ni16 0.6148 0.8704 0.7444
Ni17 0.6230 0.3725 0.2504
Ni18 0.6275 0.3770 0.7496
Ni19 0.6275 0.8779 0.2504
Ni20 0.8704 0.1260 0.2556
Ni21 0.8704 0.6148 0.7444
Ni22 0.8740 0.1296 0.7444
Ni23 0.8779 0.6275 0.2504
Mo1 0.0000 0.0000 0.0000

Principal peaks in the range 10 to 80 degrees two-theta, by angle:
| 2theta | I/Imax |
| --- | --- |
| 17.79 | 2.3 |
| 28.33 | 5.1 |
| 31.17 | 2.0 |
| 44.59 | 100.0 |
| 51.88 | 31.1 |
| 52.12 | 15.1 |
| 76.43 | 8.9 |
| 76.62 | 17.4 |